[1]
For Cs6TiS4, a GGA-PBE-relaxed structure gives the theoretical XRD peak list in this record (a wavelength of 1.5418 Å).

Largest 6 diffraction maxima, most intense first, 15 to 90 degrees two-theta:
| 2θ (°) | intensity |
| --- | --- |
| 26.63 | 100 |
| 27.99 | 76 |
| 29.74 | 41 |
| 21.20 | 41 |
| 22.86 | 37 |
| 32.18 | 35 |

Structure:
abc: 11.1253 11.1253 8.5035
angles: 90.00 90.00 120.00
Atoms (fractional coordinates):
Cs (0.0686, 0.5343, 0.0000)
Cs (0.1371, 0.2743, 0.6777)
Cs (0.1371, 0.8629, 0.6777)
Cs (0.2743, 0.1371, 0.1777)
Cs (0.4657, 0.5343, 0.0000)
Cs (0.4657, 0.9314, 0.0000)
Cs (0.5343, 0.0686, 0.5000)
Cs (0.5343, 0.4657, 0.5000)
Cs (0.7257, 0.8629, 0.6777)
Cs (0.8629, 0.1371, 0.1777)
Cs (0.8629, 0.7257, 0.1777)
Cs (0.9314, 0.4657, 0.5000)
Ti (0.3333, 0.6667, 0.3995)
Ti (0.6667, 0.3333, 0.8995)
S (0.2188, 0.4376, 0.3072)
S (0.2188, 0.7812, 0.3072)
S (0.3333, 0.6667, 0.6769)
S (0.4376, 0.2188, 0.8072)
S (0.5624, 0.7812, 0.3072)
S (0.6667, 0.3333, 0.1769)
S (0.7812, 0.2188, 0.8072)
S (0.7812, 0.5624, 0.8072)

***

[2]
For Al2Pd7Au, a GGA-PBE-relaxed structure gives the theoretical XRD peak list in this record (a wavelength of 1.5418 Å).

Largest 6 diffraction maxima, most intense first, 15 to 90 degrees two-theta:
| 2θ (°) | intensity |
| --- | --- |
| 43.49 | 100 |
| 38.48 | 96 |
| 44.38 | 90 |
| 36.03 | 82 |
| 32.23 | 79 |
| 41.96 | 61 |

Structure:
abc: 7.1129 7.1129 4.3067
angles: 90.00 90.00 118.55
Atoms (fractional coordinates):
Al (0.1977, 0.8023, 0.0000)
Al (0.8023, 0.1977, 0.0000)
Pd (0.0000, 0.0000, 0.0000)
Pd (0.1912, 0.4312, 0.0000)
Pd (0.2788, 0.7212, 0.5000)
Pd (0.4312, 0.1912, 0.0000)
Pd (0.5688, 0.8088, 0.0000)
Pd (0.7212, 0.2788, 0.5000)
Pd (0.8088, 0.5688, 0.0000)
Au (0.5000, 0.5000, 0.5000)

***

[3]
For HoMgHg4, a GGA-PBE-relaxed structure gives the theoretical XRD peak list in this record (a wavelength of 1.5418 Å).

Largest 6 diffraction maxima, most intense first, 15 to 90 degrees two-theta:
| 2θ (°) | intensity |
| --- | --- |
| 32.65 | 100 |
| 36.11 | 77 |
| 37.30 | 34 |
| 38.89 | 32 |
| 43.46 | 23 |
| 59.65 | 19 |

Structure:
abc: 4.1649 5.3511 7.2964
angles: 107.74 90.14 112.88
Atoms (fractional coordinates):
Ho (0.0000, 0.0000, 0.0000)
Mg (0.0000, 0.0000, 0.5000)
Hg (0.3278, 0.6608, 0.6607)
Hg (0.3412, 0.6777, 0.1813)
Hg (0.6588, 0.3223, 0.8187)
Hg (0.6722, 0.3392, 0.3393)